Starting from a crystal structure in Alexandria, relaxed with GGA-PBE, the PXRD pattern of Y2ThPd7 was computed for Cu Kα X-rays.

Cell and atoms:
abc: 5.786 8.487 16.994
angles: 90.00 90.00 90.00
Space group Fmmm (No. 69)
Asymmetric unit:
Y: 0.000 0.000 0.173
Th: 0.000 0.000 0.500
Pd: 0.000 0.000 0.000
Pd: 0.250 0.250 0.085
Pd: 0.250 0.250 0.250

Top 10 peaks for 5° ≤ 2θ ≤ 70°, sorted by position:
hkl  d/Å  Position (°2θ)  I (rel.)
0 0 2  8.497  10.41  339
0 0 4  4.247  20.91  131
0 2 2  3.796  23.43  129
1 1 3  3.654  24.36  375
2 2 0  2.390  37.63  1000
0 2 6  2.356  38.20  894
1 3 3  2.319  38.84  111
0 4 0  2.122  42.61  344
2 0 6  2.024  44.78  568
2 4 6  1.465  63.52  407



Starting from a crystal structure in Alexandria, relaxed with GGA-PBE, the PXRD pattern of Ac2SmCu3Sn4 was computed for Cu Kα X-rays.

Cell and atoms:
abc: 4.662 4.662 11.881
angles: 90.00 90.00 90.00
Space group P-4m2 (No. 115)
Asymmetric unit:
Ac: 0.000 0.500 0.228
Sm: 0.000 0.000 0.500
Cu: 0.000 0.500 0.881
Cu: 0.500 0.500 0.500
Sn: 0.000 0.000 0.000
Sn: 0.000 0.500 0.660
Sn: 0.500 0.500 0.000

Top 10 peaks for 5° ≤ 2θ ≤ 70°, sorted by position:
hkl  d/Å  Position (°2θ)  I (rel.)
1 1 0  3.297  27.05  95
1 0 3  3.018  29.60  354
1 1 2  2.883  31.02  1000
1 0 4  2.505  35.85  141
2 0 0  2.331  38.62  481
1 0 5  2.117  42.71  190
2 1 3  1.845  49.40  175
2 2 0  1.648  55.77  167
2 1 5  1.567  58.93  149
3 1 2  1.431  65.20  247



Starting from a crystal structure in Alexandria, relaxed with GGA-PBE, the PXRD pattern of Au was computed for Cu Kα X-rays.

Cell and atoms:
abc: 7.378 11.470 2.895
angles: 90.00 90.00 90.00
Space group Cmmm (No. 65)
Asymmetric unit:
Au: 0.000 0.120 0.000
Au: 0.189 0.500 0.500
Au: 0.250 0.250 0.500

Top 10 peaks for 5° ≤ 2θ ≤ 70°, sorted by position:
hkl  d/Å  Position (°2θ)  I (rel.)
1 1 0  6.205  14.27  198
1 3 0  3.395  26.25  397
1 1 1  2.624  34.17  484
3 1 0  2.405  37.40  422
2 0 1  2.278  39.57  1000
2 4 0  2.264  39.82  977
0 4 1  2.037  44.47  871
3 3 1  1.683  54.52  257
3 5 1  1.451  64.16  195
4 4 1  1.367  68.64  227